Structure and computed PXRD pattern of Ac3Pr8Th (DFT lattice parameters and positions (GGA-PBE); Cu Kα X-rays).

Cell and atoms:
abc: 9.3619 9.3619 9.3619
angles: 137.52 118.59 77.52
Positions (direct):
1 Ac 0.0000 0.0000 0.0000
2 Ac 0.1294 0.6294 0.5000
3 Ac 0.8706 0.3706 0.5000
4 Pr 0.1441 0.4330 0.9919
5 Pr 0.2406 0.0288 0.4738
6 Pr 0.4410 0.1521 0.0081
7 Pr 0.4450 0.9712 0.2118
8 Pr 0.5550 0.7668 0.5262
9 Pr 0.5590 0.5670 0.7111
10 Pr 0.7594 0.2332 0.7882
11 Pr 0.8559 0.8479 0.2889
12 Th 0.5000 0.5000 0.0000

Largest 10 diffraction maxima, sorted by position, 2θ from 10° to 90°:
- 2θ 23.57, I = 154
- 2θ 28.62, I = 513
- 2θ 29.31, I = 1000
- 2θ 32.37, I = 158
- 2θ 33.40, I = 290
- 2θ 33.59, I = 196
- 2θ 34.68, I = 228
- 2θ 40.50, I = 164
- 2θ 48.27, I = 147
- 2θ 55.89, I = 272